The following is a calculated powder diffraction line list of CoHCO3. It was derived from a DFT-relaxed cell (GGA+U, the Materials Project), using λ = 1.5418 Å (Cu Kα).
No peak broadening, texture or thermal motion is included.

Structural model:
```
data_CoHCO3
_chemical_formula_sum 'Co6 H6 C6 O18'
_space_group_name_H-M_alt 'P -1'
_space_group_IT_number 2
_space_group_name_Hall '-P 1'
_cell_length_a 6.873
_cell_length_b 8.110
_cell_length_c 9.362
_cell_angle_alpha 72.45
_cell_angle_beta 81.36
_cell_angle_gamma 82.74
loop_
_atom_site_label
_atom_site_fract_x
_atom_site_fract_y
_atom_site_fract_z
_atom_site_occupancy
Co1 0.003 0.466 0.237 1
Co2 0.263 0.758 0.614 1
Co3 0.271 0.359 0.013 1
H1 0.013 0.216 0.917 1
H2 0.158 0.060 0.287 1
H3 0.492 0.613 0.257 1
C1 0.161 0.963 0.223 1
C2 0.420 0.066 0.521 1
C3 0.429 0.736 0.183 1
O1 0.002 0.755 0.638 1
O2 0.043 0.961 0.142 1
O3 0.056 0.326 0.920 1
O4 0.261 0.007 0.595 1
O5 0.262 0.452 0.168 1
O6 0.262 0.530 0.690 1
O7 0.312 0.830 0.265 1
O8 0.459 0.224 0.480 1
O9 0.480 0.791 0.046 1
```

Top 10 peaks for 2θ = 10–90°, in order of rising 2θ:
| Position (°2θ) | I/Imax | (hkl) |
| --- | --- | --- |
| 11.5 | 39.2 | 0 1 0 |
| 12.9 | 80.1 | 0 1 1 |
| 16.7 | 62.2 | 1 1 1 |
| 18.2 | 22.1 | 1 -1 0 |
| 20.0 | 60.2 | 0 1 2 |
| 21.6 | 38.6 | 1 -1 1 |
| 22.6 | 100.0 | 1 0 2 |
| 25.6 | 48.8 | 1 2 0 |
| 39.2 | 29.4 | 1 1 4 |
| 45.7 | 29.1 | 0 3 -2 |